[1]
Calculated powder diffraction line list
Compound: Ta11Si2Se8
Radiation: Cu Kα
Structure: a DFT-relaxed cell (PBE, the Materials Project)

Main lines, sorted by position (2θ from 5° to 70°):
d (Å), I_rel
10.214, 100.0
7.571, 40.2
2.765, 36.6
2.630, 30.4
2.544, 57.1
2.438, 21.8
2.389, 36.0
2.378, 22.2
2.215, 51.4
1.747, 25.1

Structure:
```
Ta11Si2Se8
1.0
11.983 0.000 0.000
0.000 19.534 0.000
0.000 0.000 3.494
Ta Si Se
22 4 16
Cartesian
0.000 0.000 0.000
0.551 4.728 0.000
0.747 2.215 1.747
1.949 15.368 1.747
2.118 6.953 1.747
2.155 18.623 1.747
3.836 8.856 0.000
3.873 16.720 0.000
4.042 5.601 0.000
5.245 11.982 0.000
5.441 14.495 1.747
5.991 9.767 1.747
6.542 5.039 1.747
6.738 7.552 0.000
7.941 13.933 0.000
8.109 2.813 0.000
8.146 10.678 0.000
9.828 0.911 1.747
9.865 12.580 1.747
10.034 4.166 1.747
11.236 17.318 1.747
11.432 14.806 0.000
1.128 17.037 0.000
4.863 7.270 1.747
7.120 12.264 1.747
10.855 2.497 0.000
0.507 13.138 1.747
1.287 8.720 0.000
2.538 1.133 0.000
2.554 4.178 1.747
3.437 13.945 0.000
3.454 10.900 1.747
4.704 18.487 1.747
5.484 3.371 0.000
6.499 16.163 0.000
7.278 1.047 1.747
8.529 8.634 1.747
8.546 5.589 0.000
9.428 15.356 1.747
9.445 18.401 0.000
10.696 10.814 0.000
11.475 6.396 1.747
```

[2]
Calculated powder diffraction line list
Compound: Sr2HgGe
Radiation: Cu Kα
Structure: a DFT-relaxed cell (PBE, the Materials Project)

Main lines, sorted by position (2θ from 5° to 70°):
d (Å), I_rel
4.549, 16.3
3.940, 5.5
2.786, 100.0
2.376, 9.9
1.970, 18.4
1.808, 4.5
1.762, 2.7
1.608, 38.4
1.516, 3.4
1.393, 11.9

Structure:
```
Sr2HgGe
1.0
0.000 3.940 3.940
3.940 0.000 3.940
3.940 3.940 0.000
Sr Hg Ge
2 1 1
Cartesian
1.970 1.970 1.970
5.910 5.910 5.910
0.000 0.000 0.000
3.940 3.940 3.940
```

[3]
Calculated powder diffraction line list
Compound: Rb2Be2O3
Radiation: Cu Kα
Structure: a DFT-relaxed cell (PBE, the Materials Project)

Main lines, sorted by position (2θ from 5° to 70°):
d (Å), I_rel
4.338, 79.3
2.679, 52.6
2.646, 100.0
2.279, 75.8
2.239, 34.6
1.894, 10.3
1.718, 13.9
1.540, 35.3
1.521, 16.0
1.457, 17.1

Structure:
```
Rb2Be2O3
1.0
7.578 0.000 0.000
0.000 7.578 0.000
0.000 0.000 7.392
Rb Be O
8 8 12
Cartesian
0.031 1.866 2.683
1.866 0.031 4.708
1.923 3.820 0.836
3.758 5.654 2.860
3.820 1.923 6.556
5.654 3.758 4.531
5.712 7.546 1.012
7.546 5.712 6.379
0.247 5.453 2.527
1.664 3.542 4.375
2.125 7.331 1.168
3.542 1.664 3.016
4.035 5.914 6.712
5.453 0.247 4.864
5.914 4.035 0.680
7.331 2.125 6.223
0.853 6.725 1.848
0.973 4.799 3.742
1.010 2.816 5.590
2.779 6.605 7.345
2.816 1.010 1.802
2.936 2.936 3.696
4.642 4.642 0.000
4.762 6.568 5.497
4.799 0.973 3.649
6.568 4.762 1.894
6.605 2.779 0.046
6.725 0.853 5.544
```

[4]
Calculated powder diffraction line list
Compound: K3ErCl6
Radiation: Cu Kα
Structure: a DFT-relaxed cell (PBE, the Materials Project)

Main lines, sorted by position (2θ from 5° to 70°):
d (Å), I_rel
6.306, 100.0
6.214, 32.6
6.010, 37.0
5.397, 67.8
5.329, 27.1
3.842, 47.2
3.744, 53.8
3.238, 33.3
2.698, 52.0
2.665, 23.2

Structure:
```
K3ErCl6
1.0
13.231 0.000 0.000
0.000 7.821 0.000
-4.390 0.000 12.020
K Er Cl
12 4 24
Cartesian
-0.188 0.285 4.453
-2.383 3.626 10.463
0.746 0.423 9.222
2.941 3.488 3.212
1.607 4.500 7.327
3.802 7.232 1.317
5.038 0.589 10.704
7.234 3.322 4.693
5.900 4.334 8.808
8.095 7.398 2.798
11.224 4.195 1.558
9.029 7.537 7.568
0.000 0.000 0.000
-2.195 3.911 6.010
4.420 0.000 6.010
6.615 3.911 0.000
-2.441 0.251 10.307
-0.245 3.659 4.297
1.079 5.553 0.890
-1.116 6.179 6.900
1.355 1.313 1.798
-0.840 2.598 7.808
0.556 5.500 10.741
2.751 6.232 4.731
2.512 1.789 5.994
0.317 2.122 12.004
5.738 4.916 2.289
3.543 6.816 8.299
5.297 1.006 3.721
3.102 2.905 9.731
8.524 5.700 0.016
6.329 6.032 6.027
6.089 1.590 7.289
8.285 2.321 1.279
9.681 5.223 4.212
7.486 6.509 10.223
9.956 1.643 5.120
7.761 2.268 11.131
9.086 4.162 7.724
11.281 7.570 1.714
```